[1]
Calculated powder XRD pattern of Tm2SeBr for λ = 1.5418 Å (Cu Kα), from a DFT-relaxed cell (PBE, Alexandria).
Peak positions follow from Bragg's law for the DFT cell and can differ from measured ones.

Atomic structure:
```
Tm2SeBr
1.0
3.8009 0.0000 0.0000
-1.9005 3.2917 0.0000
0.0000 0.0000 23.8055
Tm Se Br
6 3 3
Cartesian
0.0000 0.0000 5.6261
0.0000 0.0000 18.1794
0.0000 2.1945 10.2442
0.0000 2.1945 21.4964
1.9005 1.0972 2.3091
1.9005 1.0972 13.5613
0.0000 0.0000 11.9028
0.0000 2.1945 3.9676
1.9005 1.0972 19.8379
0.0000 0.0000 0.0000
0.0000 2.1945 15.8703
1.9005 1.0972 7.9352
```

Top 10 peaks for 2θ from 10° to 90°, most intense first:
- (1 0 4), 31.05°, d = 2.880 Å, I = 100
- (0 1 8), 40.88°, d = 2.207 Å, I = 37
- (1 1 0), 47.86°, d = 1.900 Å, I = 32
- (2 1 4), 78.54°, d = 1.218 Å, I = 20
- (0 2 4), 58.15°, d = 1.586 Å, I = 19
- (0 1 2), 28.13°, d = 3.173 Å, I = 16
- (0 0 3), 11.15°, d = 7.935 Å, I = 11
- (1 1 12), 68.35°, d = 1.372 Å, I = 10
- (2 0 8), 64.72°, d = 1.440 Å, I = 9
- (1 2 8), 84.38°, d = 1.148 Å, I = 9

=====

[2]
Calculated powder XRD pattern of LiMg4Ga3 for λ = 1.5418 Å (Cu Kα), from a DFT-relaxed cell (PBE, Alexandria).
Peak positions follow from Bragg's law for the DFT cell and can differ from measured ones.

Atomic structure:
```
LiMg4Ga3
1.0
15.5167 0.0000 0.0000
0.0000 4.5446 0.0000
-1.3222 0.0000 4.3479
Li Mg Ga
2 8 6
Cartesian
0.0000 0.0000 0.0000
7.7584 2.2723 0.0000
1.1249 0.0000 2.7215
1.7853 2.2723 0.5486
4.6508 0.0000 3.7994
5.3112 2.2723 1.6265
9.5437 0.0000 0.5486
8.8833 2.2723 2.7215
13.0696 0.0000 1.6265
12.4092 2.2723 3.7994
-0.6611 2.2723 2.1740
3.5000 0.0000 1.0685
2.9361 2.2723 3.2794
7.0973 0.0000 2.1740
11.2584 2.2723 1.0685
10.6945 0.0000 3.2794
```

Top 10 peaks for 2θ from 10° to 90°, most intense first:
- (3 1 1), 37.00°, d = 2.429 Å, I = 100
- (0 2 0), 39.67°, d = 2.272 Å, I = 41
- (3 3 1), 70.22°, d = 1.340 Å, I = 21
- (2 0 -1), 20.44°, d = 4.345 Å, I = 18
- (2 2 -2), 57.34°, d = 1.607 Å, I = 17
- (2 0 0), 11.92°, d = 7.423 Å, I = 17
- (8 2 0), 64.86°, d = 1.438 Å, I = 16
- (1 1 -1), 27.76°, d = 3.213 Å, I = 15
- (2 0 1), 26.63°, d = 3.347 Å, I = 13
- (8 0 0), 49.09°, d = 1.856 Å, I = 11

=====

Repeat the first record exactly.
Calculated powder XRD pattern of Tm2SeBr for λ = 1.5418 Å (Cu Kα), from a DFT-relaxed cell (PBE, Alexandria).
Peak positions follow from Bragg's law for the DFT cell and can differ from measured ones.

Atomic structure:
```
Tm2SeBr
1.0
3.8009 0.0000 0.0000
-1.9005 3.2917 0.0000
0.0000 0.0000 23.8055
Tm Se Br
6 3 3
Cartesian
0.0000 0.0000 5.6261
0.0000 0.0000 18.1794
0.0000 2.1945 10.2442
0.0000 2.1945 21.4964
1.9005 1.0972 2.3091
1.9005 1.0972 13.5613
0.0000 0.0000 11.9028
0.0000 2.1945 3.9676
1.9005 1.0972 19.8379
0.0000 0.0000 0.0000
0.0000 2.1945 15.8703
1.9005 1.0972 7.9352
```

Top 10 peaks for 2θ from 10° to 90°, most intense first:
- (1 0 4), 31.05°, d = 2.880 Å, I = 100
- (0 1 8), 40.88°, d = 2.207 Å, I = 37
- (1 1 0), 47.86°, d = 1.900 Å, I = 32
- (2 1 4), 78.54°, d = 1.218 Å, I = 20
- (0 2 4), 58.15°, d = 1.586 Å, I = 19
- (0 1 2), 28.13°, d = 3.173 Å, I = 16
- (0 0 3), 11.15°, d = 7.935 Å, I = 11
- (1 1 12), 68.35°, d = 1.372 Å, I = 10
- (2 0 8), 64.72°, d = 1.440 Å, I = 9
- (1 2 8), 84.38°, d = 1.148 Å, I = 9